This entry pairs a crystal structure of PWSO2 with its calculated powder diffraction line list. Radiation: Cu Ka. Structure: a crystal structure in Alexandria, relaxed with PBE+U.

Top 6 peaks for 2θ = 5–70°, most intense first:
| h k l | d_spacing | Position (°2θ) | I/Imax |
| --- | --- | --- | --- |
| 1 0 1 | 3.100 | 28.80 | 100 |
| 1 0 0 | 3.789 | 23.48 | 78 |
| 0 0 1 | 5.390 | 16.45 | 61 |
| 1 1 0 | 2.680 | 33.44 | 45 |
| 0 0 2 | 2.695 | 33.24 | 40 |
| 1 0 2 | 2.196 | 41.10 | 37 |

Crystal structure
Unit cell a=3.7895 b=3.7895 c=5.3900 alpha=90.00 beta=90.00 gamma=90.00
Space group P4/mmm (No. 123)
Unique sites:
P (0.0000, 0.0000, 0.0000) (multiplicity 1)
W (0.0000, 0.0000, 0.5000) (multiplicity 1)
S (0.5000, 0.5000, 0.0000) (multiplicity 1)
O (0.0000, 0.5000, 0.5000) (multiplicity 2)